The following is a calculated powder diffraction line list of Ce3Pr4PuTe8. It was derived from a GGA-PBE-relaxed structure, using λ = 1.5418 Å (Cu Kα).

Cell and atoms:
Unit cell a=15.5429 b=8.9752 c=9.0491 alpha=90.00 beta=124.97 gamma=90.00
Space group C2/m (No. 12)
Symmetry-distinct sites (fractional):
Ce 0.0000 0.0000 0.0000
Ce 0.2500 0.2500 0.5000
Pr 0.0000 0.0000 0.5000
Pr 0.0000 0.5000 0.5000
Pr 0.2500 0.2500 0.0000
Pu 0.0000 0.5000 0.0000
Te 0.0012 0.2519 0.2472
Te 0.2472 0.5000 0.2493
Te 0.2488 0.0000 0.2508

Top 6 peaks for 2θ from 15° to 90°, low angle first:
d [Å], 2θ/deg, I (rel.), index
3.185, 28.01, 1000, 4 0 0
2.261, 39.86, 388, 2 2 2
2.244, 40.19, 379, 0 4 0
1.834, 49.70, 205, 4 4 0
1.429, 65.29, 180, 6 2 2
1.420, 65.76, 176, 2 6 -2

---

The following is a calculated powder diffraction line list of BaCu2HgO2. It was derived from a GGA-PBE-relaxed structure, using λ = 1.5418 Å (Cu Kα).

Cell and atoms:
Unit cell a=4.5314 b=6.2172 c=8.4189 alpha=90.00 beta=105.61 gamma=90.00
Space group P2_1/m (No. 11)
Symmetry-distinct sites (fractional):
Ba 0.2079 0.2500 0.4154
Cu 0.3982 0.2500 0.7952
Cu 0.4307 0.7500 0.8634
Hg 0.0166 0.7500 0.0346
O 0.3435 0.5206 0.6873

Top 6 peaks for 2θ from 15° to 90°, low angle first:
d [Å], 2θ/deg, I (rel.), index
3.109, 28.72, 928, 0 2 0
3.032, 29.46, 457, 1 1 -2
2.637, 33.99, 1000, 1 0 2
2.266, 39.78, 513, 2 0 -1
2.011, 45.08, 962, 1 2 2
1.831, 49.80, 412, 2 2 -1

---

The following is a calculated powder diffraction line list of AgCl3F12. It was derived from a GGA-PBE-relaxed structure, using λ = 1.5418 Å (Cu Kα).

Cell and atoms:
Unit cell a=8.1529 b=8.4220 c=8.6989 alpha=78.35 beta=78.90 gamma=80.99
Space group P1 (No. 1)
Symmetry-distinct sites (fractional):
Ag 0.0000 0.0000 0.0000
Ag 0.4993 0.5012 0.5004
Cl 0.0420 0.7726 0.4180
Cl 0.2706 0.5550 0.9125
Cl 0.4083 0.0998 0.7497
Cl 0.5908 0.9012 0.2493
Cl 0.7318 0.4431 0.0897
Cl 0.9556 0.2313 0.5832
F 0.1205 0.9284 0.1822
F 0.1331 0.0924 0.5414
F 0.1342 0.7429 0.8701
F 0.1590 0.5214 0.0934
F 0.1796 0.1464 0.8988
F 0.2257 0.6262 0.3835
F 0.3497 0.3275 0.6132
F 0.4026 0.3748 0.9596
F 0.4111 0.9278 0.3728
F 0.4397 0.6178 0.6821
F 0.4451 0.9191 0.8634
F 0.5536 0.0808 0.1342
F 0.5587 0.3848 0.3185
F 0.5876 0.0735 0.6256
F 0.6034 0.6248 0.0390
F 0.6494 0.6747 0.3879
F 0.7706 0.3754 0.6209
F 0.8201 0.8540 0.1012
F 0.8464 0.4734 0.9099
F 0.8645 0.2534 0.1353
F 0.8657 0.9139 0.4565
F 0.8799 0.0715 0.8175
F 0.9974 0.3372 0.4017
F 0.9977 0.6697 0.6006

Top 6 peaks for 2θ from 15° to 90°, low angle first:
d [Å], 2θ/deg, I (rel.), index
4.201, 21.15, 410, 0 0 2
4.093, 21.71, 360, 0 2 0
3.969, 22.40, 1000, 0 2 1
3.841, 23.16, 611, 2 0 1
3.301, 27.01, 496, -1 2 1
2.838, 31.53, 391, 2 2 2

---

The following is a calculated powder diffraction line list of Sm12Tl6Ru. It was derived from a GGA-PBE-relaxed structure, using λ = 1.5418 Å (Cu Kα).

Cell and atoms:
Unit cell a=12.4347 b=12.4347 c=13.6315 alpha=90.00 beta=90.00 gamma=120.00
Space group R-3 (No. 148, hexagonal axes)
Symmetry-distinct sites (fractional):
Sm 0.0341 0.1887 0.3909
Sm 0.0381 0.8483 0.8769
Tl 0.0092 0.3989 0.2616
Ru 0.0000 0.0000 0.0000

Top 6 peaks for 2θ from 15° to 90°, low angle first:
d [Å], 2θ/deg, I (rel.), index
3.249, 27.45, 401, 1 0 4
2.918, 30.64, 1000, 4 -3 1
2.736, 32.74, 418, 3 1 2
2.613, 34.32, 194, 2 1 4
2.566, 34.97, 778, 4 -2 3
1.407, 66.46, 221, 7 -1 5

---

The following is a calculated powder diffraction line list of Re6Ru7. It was derived from a GGA-PBE-relaxed structure, using λ = 1.5418 Å (Cu Kα).

Cell and atoms:
Unit cell a=5.0009 b=5.0009 c=26.5523 alpha=90.00 beta=90.00 gamma=120.00
Space group R-3m (No. 166, hexagonal axes)
Symmetry-distinct sites (fractional):
Re 0.0000 0.0000 0.0469
Re 0.0000 0.0000 0.1482
Re 0.0000 0.0000 0.3380
Ru 0.0000 0.0000 0.5000
Ru 0.0048 0.5024 0.9127

Top 6 peaks for 2θ from 15° to 90°, low angle first:
d [Å], 2θ/deg, I (rel.), index
2.500, 35.92, 963, 1 1 0
2.264, 39.82, 793, 1 0 10
2.177, 41.48, 1000, 1 1 6
2.158, 41.86, 405, 0 2 1
2.108, 42.89, 577, 0 1 11
1.250, 76.14, 359, 2 2 0